[1]
# Dy3ErBi3
Simulated powder diffraction line list, copper Kα. Input: the GGA-PBE geometry in Alexandria.

Crystal structure
```
data_Dy3ErBi3
_chemical_formula_sum 'Dy18 Er6 Bi18'
_symmetry_space_group_name_H-M 'R -3'
_symmetry_Int_Tables_number 148
_symmetry_space_group_name_Hall '-R 3'
_cell_length_a 9.0604
_cell_length_b 9.0604
_cell_length_c 18.8320
_cell_angle_alpha 90.00
_cell_angle_beta 90.00
_cell_angle_gamma 120.00
loop_
_atom_site_label
_atom_site_fract_x
_atom_site_fract_y
_atom_site_fract_z
Dy1 0.0011 0.7462 0.0817
Er1 0.0000 0.0000 0.3334
Bi1 0.0018 0.6084 0.9156
```

Largest 6 diffraction maxima, by intensity, 2θ from 10° to 90°:
34.8 deg, I 100, (1 1 6)
31.6 deg, I 90, (3 -2 2)
34.3 deg, I 76, (3 0 0)
28.4 deg, I 65, (0 0 6)
35.8 deg, I 59, (3 -1 4)
30.5 deg, I 54, (3 -1 1)

***

[2]
# DyEr5Bi4
Simulated powder diffraction line list, copper Kα. Input: the GGA-PBE geometry in Alexandria.

Crystal structure
```
data_DyEr5Bi4
_chemical_formula_sum 'Dy2 Er10 Bi8'
_symmetry_space_group_name_H-M 'C 1 2/m 1'
_symmetry_Int_Tables_number 12
_symmetry_space_group_name_Hall '-C 2y'
_cell_length_a 19.755
_cell_length_b 4.369
_cell_length_c 7.649
_cell_angle_alpha 90.00
_cell_angle_beta 101.31
_cell_angle_gamma 90.00
loop_
_atom_site_label
_atom_site_fract_x
_atom_site_fract_y
_atom_site_fract_z
Dy1 0.000 0.000 0.000
Er1 0.000 0.000 0.500
Er2 0.189 0.500 0.086
Er3 0.197 0.500 0.613
Bi1 0.063 0.500 0.778
Bi2 0.134 0.000 0.325
```

Largest 6 diffraction maxima, by intensity, 2θ from 10° to 90°:
32.5 deg, I 100, (1 1 2)
32.9 deg, I 62, (6 0 -2)
38.5 deg, I 51, (7 1 0)
24.5 deg, I 37, (1 1 1)
41.3 deg, I 35, (0 2 0)
26.1 deg, I 32, (3 1 -1)

***

[3]
# Dy2ErBi2
Simulated powder diffraction line list, copper Kα. Input: the GGA-PBE geometry in Alexandria.

Crystal structure
```
data_Dy2ErBi2
_chemical_formula_sum 'Dy4 Er2 Bi4'
_symmetry_space_group_name_H-M 'P -1'
_symmetry_Int_Tables_number 2
_symmetry_space_group_name_Hall '-P 1'
_cell_length_a 4.333
_cell_length_b 8.718
_cell_length_c 9.058
_cell_angle_alpha 103.92
_cell_angle_beta 103.83
_cell_angle_gamma 90.00
loop_
_atom_site_label
_atom_site_fract_x
_atom_site_fract_y
_atom_site_fract_z
Dy1 0.000 0.249 0.000
Dy2 0.320 0.660 0.639
Er1 0.320 0.160 0.639
Bi1 0.134 0.569 0.269
Bi2 0.135 0.066 0.271
```

Largest 6 diffraction maxima, by intensity, 2θ from 10° to 90°:
36.0 deg, I 100, (1 2 1)
29.1 deg, I 76, (1 2 -1)
33.4 deg, I 74, (0 2 2)
30.9 deg, I 69, (1 2 -2)
21.2 deg, I 43, (1 0 0)
41.4 deg, I 36, (0 4 -1)

***

[4]
# DyEr3Bi3
Simulated powder diffraction line list, copper Kα. Input: the GGA-PBE geometry in Alexandria.

Crystal structure
```
data_DyEr3Bi3
_chemical_formula_sum 'Dy4 Er12 Bi12'
_symmetry_space_group_name_H-M 'P 21 3'
_symmetry_Int_Tables_number 198
_symmetry_space_group_name_Hall 'P 2ac 2ab 3'
_cell_length_a 9.331
_cell_length_b 9.331
_cell_length_c 9.331
_cell_angle_alpha 90.00
_cell_angle_beta 90.00
_cell_angle_gamma 90.00
loop_
_atom_site_label
_atom_site_fract_x
_atom_site_fract_y
_atom_site_fract_z
Dy1 0.073 0.427 0.573
Er1 0.075 0.575 0.925
Er2 0.176 0.824 0.324
Er3 0.177 0.177 0.177
Bi1 0.001 0.252 0.876
```

Largest 6 diffraction maxima, by intensity, 2θ from 10° to 90°:
30.3 deg, I 100, (3 1 0)
36.0 deg, I 68, (3 1 2)
61.2 deg, I 30, (6 1 1)
49.8 deg, I 19, (4 1 3)
74.8 deg, I 19, (7 1 2)
43.4 deg, I 18, (4 0 2)

***

[5]
# Dy3ErBi3
Simulated powder diffraction line list, copper Kα. Input: the GGA-PBE geometry in Alexandria.

Crystal structure
```
data_Dy3ErBi3
_chemical_formula_sum 'Dy12 Er4 Bi12'
_symmetry_space_group_name_H-M 'P 21 3'
_symmetry_Int_Tables_number 198
_symmetry_space_group_name_Hall 'P 2ac 2ab 3'
_cell_length_a 9.366
_cell_length_b 9.366
_cell_length_c 9.366
_cell_angle_alpha 90.00
_cell_angle_beta 90.00
_cell_angle_gamma 90.00
loop_
_atom_site_label
_atom_site_fract_x
_atom_site_fract_y
_atom_site_fract_z
Dy1 0.072 0.428 0.572
Dy2 0.176 0.824 0.324
Dy3 0.177 0.177 0.177
Er1 0.074 0.574 0.926
Bi1 0.001 0.252 0.874
```

Largest 6 diffraction maxima, by intensity, 2θ from 10° to 90°:
30.2 deg, I 100, (3 0 1)
35.9 deg, I 67, (3 2 1)
61.0 deg, I 30, (6 1 1)
74.4 deg, I 19, (7 2 1)
49.6 deg, I 19, (4 3 1)
43.2 deg, I 18, (4 2 0)

***

[6]
# Dy3ErBi
Simulated powder diffraction line list, copper Kα. Input: the GGA-PBE geometry in Alexandria.

Crystal structure
```
data_Dy3ErBi
_chemical_formula_sum 'Dy12 Er4 Bi4'
_symmetry_space_group_name_H-M 'C 1 2/m 1'
_symmetry_Int_Tables_number 12
_symmetry_space_group_name_Hall '-C 2y'
_cell_length_a 12.063
_cell_length_b 5.749
_cell_length_c 9.126
_cell_angle_alpha 90.00
_cell_angle_beta 90.38
_cell_angle_gamma 90.00
loop_
_atom_site_label
_atom_site_fract_x
_atom_site_fract_y
_atom_site_fract_z
Dy1 0.091 0.000 0.339
Dy2 0.100 0.500 0.660
Dy3 0.109 0.500 0.096
Er1 0.115 0.000 0.915
Bi1 0.244 0.000 0.625
```

Largest 6 diffraction maxima, by intensity, 2θ from 10° to 90°:
33.5 deg, I 100, (3 1 -2)
33.6 deg, I 84, (3 1 2)
31.1 deg, I 80, (0 2 0)
34.2 deg, I 36, (1 1 3)
56.9 deg, I 23, (3 3 -2)
29.4 deg, I 21, (0 0 3)

***

[7]
# Dy3ErBi2
Simulated powder diffraction line list, copper Kα. Input: the GGA-PBE geometry in Alexandria.

Crystal structure
```
data_Dy3ErBi2
_chemical_formula_sum 'Dy3 Er1 Bi2'
_symmetry_space_group_name_H-M 'P -4 m 2'
_symmetry_Int_Tables_number 115
_symmetry_space_group_name_Hall 'P -4 -2'
_cell_length_a 4.540
_cell_length_b 4.540
_cell_length_c 8.599
_cell_angle_alpha 90.00
_cell_angle_beta 90.00
_cell_angle_gamma 90.00
loop_
_atom_site_label
_atom_site_fract_x
_atom_site_fract_y
_atom_site_fract_z
Dy1 0.000 0.000 0.000
Dy2 0.000 0.500 0.654
Er1 0.500 0.500 0.000
Bi1 0.000 0.500 0.284
```

Largest 6 diffraction maxima, by intensity, 2θ from 10° to 90°:
34.9 deg, I 100, (1 1 2)
29.7 deg, I 80, (1 1 1)
39.7 deg, I 59, (2 0 0)
51.3 deg, I 39, (2 0 3)
31.2 deg, I 39, (0 0 3)
69.0 deg, I 28, (3 1 2)

***

[8]
# DyEr3Bi3
Simulated powder diffraction line list, copper Kα. Input: the GGA-PBE geometry in Alexandria.

Crystal structure
```
data_DyEr3Bi3
_chemical_formula_sum 'Dy6 Er18 Bi18'
_symmetry_space_group_name_H-M 'R -3'
_symmetry_Int_Tables_number 148
_symmetry_space_group_name_Hall '-R 3'
_cell_length_a 9.0335
_cell_length_b 9.0335
_cell_length_c 18.7494
_cell_angle_alpha 90.00
_cell_angle_beta 90.00
_cell_angle_gamma 120.00
loop_
_atom_site_label
_atom_site_fract_x
_atom_site_fract_y
_atom_site_fract_z
Dy1 0.0000 0.0000 0.1663
Er1 0.0006 0.2537 0.5809
Bi1 0.0016 0.3924 0.4144
```

Largest 6 diffraction maxima, by intensity, 2θ from 10° to 90°:
34.9 deg, I 100, (2 -1 6)
31.7 deg, I 94, (1 2 2)
34.4 deg, I 76, (3 0 0)
28.6 deg, I 67, (0 0 6)
35.9 deg, I 61, (2 1 4)
30.6 deg, I 55, (2 1 1)

***

[9]
# Dy2Ho3ErBi6
Simulated powder diffraction line list, copper Kα. Input: the GGA-PBE geometry in Alexandria.

Crystal structure
```
data_Dy2Ho3ErBi6
_chemical_formula_sum 'Dy4 Ho6 Er2 Bi12'
_symmetry_space_group_name_H-M 'C 1 2/m 1'
_symmetry_Int_Tables_number 12
_symmetry_space_group_name_Hall '-C 2y'
_cell_length_a 19.435
_cell_length_b 4.459
_cell_length_c 8.920
_cell_angle_alpha 90.00
_cell_angle_beta 103.20
_cell_angle_gamma 90.00
loop_
_atom_site_label
_atom_site_fract_x
_atom_site_fract_y
_atom_site_fract_z
Dy1 0.166 0.000 0.333
Ho1 0.000 0.500 0.500
Ho2 0.167 0.000 0.833
Er1 0.000 0.500 0.000
Bi1 0.000 0.000 0.249
Bi2 0.166 0.500 0.082
Bi3 0.166 0.500 0.584
```

Largest 6 diffraction maxima, by intensity, 2θ from 10° to 90°:
28.3 deg, I 100, (6 0 0)
40.5 deg, I 78, (5 1 2)
66.3 deg, I 37, (11 1 2)
50.1 deg, I 28, (6 2 0)
73.6 deg, I 28, (12 2 0)
58.5 deg, I 13, (12 0 0)

***

[10]
# LaDy2ErBi4
Simulated powder diffraction line list, copper Kα. Input: the GGA-PBE geometry in Alexandria.

Crystal structure
```
data_LaDy2ErBi4
_chemical_formula_sum 'La2 Dy4 Er2 Bi8'
_symmetry_space_group_name_H-M 'I 4/m m m'
_symmetry_Int_Tables_number 139
_symmetry_space_group_name_Hall '-I 4 2'
_cell_length_a 6.412
_cell_length_b 6.412
_cell_length_c 12.798
_cell_angle_alpha 90.00
_cell_angle_beta 90.00
_cell_angle_gamma 90.00
loop_
_atom_site_label
_atom_site_fract_x
_atom_site_fract_y
_atom_site_fract_z
La1 0.000 0.000 0.000
Dy1 0.000 0.500 0.250
Er1 0.000 0.000 0.500
Bi1 0.000 0.000 0.256
Bi2 0.000 0.500 0.000
```

Largest 6 diffraction maxima, by intensity, 2θ from 10° to 90°:
27.8 deg, I 100, (2 0 0)
39.8 deg, I 78, (2 2 0)
49.3 deg, I 28, (2 2 4)
72.2 deg, I 28, (4 2 4)
65.1 deg, I 25, (4 2 0)
65.2 deg, I 12, (2 0 8)

***

[11]
# Pm2DyErBi5
Simulated powder diffraction line list, copper Kα. Input: the GGA-PBE geometry in Alexandria.

Crystal structure
```
data_Pm2DyErBi5
_chemical_formula_sum 'Pm2 Dy1 Er1 Bi5'
_symmetry_space_group_name_H-M 'P 4/m m m'
_symmetry_Int_Tables_number 123
_symmetry_space_group_name_Hall '-P 4 2'
_cell_length_a 5.433
_cell_length_b 5.433
_cell_length_c 11.856
_cell_angle_alpha 90.00
_cell_angle_beta 90.00
_cell_angle_gamma 90.00
loop_
_atom_site_label
_atom_site_fract_x
_atom_site_fract_y
_atom_site_fract_z
Pm1 0.000 0.000 0.225
Dy1 0.500 0.500 0.000
Er1 0.500 0.500 0.500
Bi1 0.000 0.000 0.500
Bi2 0.000 0.500 0.000
Bi3 0.500 0.500 0.255
```

Largest 6 diffraction maxima, by intensity, 2θ from 10° to 90°:
33.0 deg, I 100, (2 0 0)
45.3 deg, I 78, (2 0 4)
23.2 deg, I 61, (1 1 0)
30.2 deg, I 58, (0 0 4)
24.4 deg, I 54, (1 1 1)
57.1 deg, I 40, (2 2 4)

***

[12]
# Pm2DyEr3Bi6
Simulated powder diffraction line list, copper Kα. Input: the GGA-PBE geometry in Alexandria.

Crystal structure
```
data_Pm2DyEr3Bi6
_chemical_formula_sum 'Pm4 Dy2 Er6 Bi12'
_symmetry_space_group_name_H-M 'C 1 2/m 1'
_symmetry_Int_Tables_number 12
_symmetry_space_group_name_Hall '-C 2y'
_cell_length_a 19.588
_cell_length_b 4.497
_cell_length_c 8.989
_cell_angle_alpha 90.00
_cell_angle_beta 103.16
_cell_angle_gamma 90.00
loop_
_atom_site_label
_atom_site_fract_x
_atom_site_fract_y
_atom_site_fract_z
Pm1 0.166 0.000 0.333
Dy1 0.000 0.500 0.000
Er1 0.000 0.500 0.500
Er2 0.168 0.000 0.834
Bi1 0.003 0.000 0.750
Bi2 0.165 0.500 0.588
Bi3 0.167 0.500 0.077
```

Largest 6 diffraction maxima, by intensity, 2θ from 10° to 90°:
28.1 deg, I 100, (6 0 0)
40.1 deg, I 78, (0 2 0)
65.7 deg, I 37, (1 3 -2)
49.7 deg, I 28, (6 2 0)
72.9 deg, I 21, (5 3 2)
58.0 deg, I 13, (2 2 -4)